Diffraction record for Sm4InGa3. The PXRD pattern is computed, not measured: it uses a cell relaxed with GGA-PBE and Cu Kα.
Peak positions follow from Bragg's law for the DFT cell and can differ from measured ones.

Cell and atoms:
```
Sm4InGa3
1.0
4.2089 0.0000 0.0000
0.0000 4.5071 0.0000
0.0000 0.0000 11.2984
Sm In Ga
4 1 3
Direct
0.0000 0.0000 0.0000
0.0000 0.5000 0.4855
0.5000 0.0000 0.7080
0.5000 0.5000 0.2170
0.0000 0.5000 0.7792
0.0000 0.0000 0.2808
0.5000 0.0000 0.4255
0.5000 0.5000 0.9402
```

Main lines, in order of rising 2θ (10 to 90 degrees two-theta):
2θ (°), I_rel, (hkl)
26.41, 18, 1 0 2
30.11, 100, 1 1 1
30.94, 40, 0 1 3
31.68, 25, 0 0 4
37.76, 54, 1 1 3
38.38, 19, 1 0 4
40.01, 27, 0 2 0
42.98, 22, 2 0 0
53.89, 17, 2 1 3
60.16, 16, 2 2 0
60.97, 14, 0 1 7
77.48, 14, 2 1 7

Diffraction record for K3Na2Cd2Au4. The PXRD pattern is computed, not measured: it uses a cell relaxed with GGA-PBE and Cu Kα.
Peak positions follow from Bragg's law for the DFT cell and can differ from measured ones.

Cell and atoms:
```
K3Na2Cd2Au4
1.0
4.8971 0.0000 0.0000
-2.4485 4.2410 0.0000
0.0000 0.0000 16.8062
K Na Cd Au
3 2 2 4
Direct
0.0000 0.0000 0.0000
0.0000 0.0000 0.2643
0.0000 0.0000 0.7357
0.3333 0.6667 0.5613
0.6667 0.3333 0.4387
0.3333 0.6667 0.1365
0.6667 0.3333 0.8635
0.3333 0.6667 0.3812
0.3333 0.6667 0.8679
0.6667 0.3333 0.1321
0.6667 0.3333 0.6188
```

Main lines, in order of rising 2θ (10 to 90 degrees two-theta):
2θ (°), I_rel, (hkl)
20.95, 47, 1 0 0
21.15, 72, 0 0 4
23.50, 89, 0 1 2
26.36, 20, 0 1 3
29.94, 92, 1 0 4
36.70, 100, 1 1 0
38.52, 34, 1 0 6
42.74, 73, 1 1 4
44.04, 18, 2 0 2
48.06, 24, 0 2 4
57.83, 38, 1 1 8
61.96, 22, 2 1 4

Diffraction record for Li2SmWN4. The PXRD pattern is computed, not measured: it uses a cell relaxed with GGA-PBE and Cu Kα.
Peak positions follow from Bragg's law for the DFT cell and can differ from measured ones.

Cell and atoms:
```
Li2SmWN4
1.0
5.4073 0.0000 0.0000
0.0000 5.4073 0.0000
0.0000 0.0000 6.7858
Li Sm W N
4 2 2 8
Direct
0.0000 0.5000 0.2500
0.0000 0.5000 0.7500
0.5000 0.0000 0.2500
0.5000 0.0000 0.7500
0.0000 0.0000 0.0000
0.5000 0.5000 0.5000
0.0000 0.0000 0.5000
0.5000 0.5000 0.0000
0.2044 0.2044 0.6547
0.2044 0.7956 0.3453
0.2956 0.2956 0.1547
0.2956 0.7044 0.8453
0.7044 0.2956 0.8453
0.7044 0.7044 0.1547
0.7956 0.2044 0.3453
0.7956 0.7956 0.6547
```

Main lines, in order of rising 2θ (10 to 90 degrees two-theta):
2θ (°), I_rel, (hkl)
23.26, 100, 1 1 0
26.27, 31, 0 0 2
33.13, 33, 2 0 0
35.37, 76, 1 1 2
42.77, 43, 2 0 2
47.56, 20, 2 2 0
53.60, 19, 3 1 0
55.14, 18, 2 2 2
59.62, 15, 1 1 4
60.64, 33, 3 1 2
64.89, 15, 2 0 4
79.60, 14, 3 1 4